# 1
CeTaFeC3: simulated powder diffraction line list (Cu Kα, 1.54184 Å), based on a crystal structure in Alexandria, relaxed with GGA-PBE.
Peak positions follow from Bragg's law for the DFT cell and can differ from measured ones.

Peak list (6 most intense, 2θ from 10° to 80°, low angle first)
12.4 deg, intensity 44, (0 0 1); 15.7 deg, intensity 30, (1 0 -1); 30.0 deg, intensity 52, (0 1 1); 31.7 deg, intensity 55, (2 0 -2); 37.2 deg, intensity 47, (0 1 2); 38.2 deg, intensity 100, (2 1 0)

Crystal structure
```
data_CeTaFeC3
_chemical_formula_sum 'Ce2 Ta2 Fe2 C6'
_cell_length_a 6.9682
_cell_length_b 3.2827
_cell_length_c 7.3659
_cell_angle_alpha 90.00
_cell_angle_beta 103.94
_cell_angle_gamma 90.00
_symmetry_space_group_name_H-M 'P 1 21/m 1'
_symmetry_Int_Tables_number 11
loop_
_symmetry_equiv_pos_as_xyz
'x,y,z'
'-x,-y,-z'
'-x,y+1/2,-z'
'x,-y+1/2,z'
loop_
_atom_site_label
_atom_site_type_symbol
_atom_site_fract_x
_atom_site_fract_y
_atom_site_fract_z
Ce1 Ce 0.1860 0.2500 0.2029
Ta1 Ta 0.3467 0.7500 0.8547
Fe1 Fe 0.0924 0.2500 0.6046
C1 C 0.1236 0.2500 0.8615
C2 C 0.1759 0.7500 0.5349
C3 C 0.4357 0.7500 0.1546
```

# 2
Pm2TmRh3: simulated powder diffraction line list (Cu Kα, 1.54184 Å), based on a crystal structure in Alexandria, relaxed with GGA-PBE.
Peak positions follow from Bragg's law for the DFT cell and can differ from measured ones.

Peak list (6 most intense, 2θ from 10° to 80°, low angle first)
36.5 deg, intensity 100, (1 0 3); 36.7 deg, intensity 50, (1 1 0); 52.9 deg, intensity 17, (2 0 0); 65.6 deg, intensity 17, (1 1 6); 66.0 deg, intensity 35, (2 1 3); 77.7 deg, intensity 11, (2 0 6)

Crystal structure
```
data_Pm2TmRh3
_chemical_formula_sum 'Pm2 Tm1 Rh3'
_cell_length_a 3.4596
_cell_length_b 3.4596
_cell_length_c 10.4879
_cell_angle_alpha 90.00
_cell_angle_beta 90.00
_cell_angle_gamma 90.00
_symmetry_space_group_name_H-M 'P 4/m m m'
_symmetry_Int_Tables_number 123
_symmetry_space_group_name_Hall '-P 4 2'
loop_
_atom_site_label
_atom_site_type_symbol
_atom_site_fract_x
_atom_site_fract_y
_atom_site_fract_z
Pm1 Pm 0.0000 0.0000 0.1704
Tm1 Tm 0.0000 0.0000 0.5000
Rh1 Rh 0.5000 0.5000 0.0000
Rh2 Rh 0.5000 0.5000 0.3446
```

# 3
ScPaHg2: simulated powder diffraction line list (Cu Kα, 1.54184 Å), based on a crystal structure in Alexandria, relaxed with GGA-PBE.
Peak positions follow from Bragg's law for the DFT cell and can differ from measured ones.

Peak list (6 most intense, 2θ from 10° to 80°, low angle first)
21.1 deg, intensity 16, (1 1 1); 34.8 deg, intensity 100, (2 2 0); 41.0 deg, intensity 9, (3 1 1); 50.0 deg, intensity 18, (4 0 0); 62.3 deg, intensity 38, (4 2 2); 73.4 deg, intensity 12, (4 4 0)

Crystal structure
```
data_ScPaHg2
_chemical_formula_sum 'Sc4 Pa4 Hg8'
_cell_length_a 7.3005
_cell_length_b 7.3005
_cell_length_c 7.3005
_cell_angle_alpha 90.00
_cell_angle_beta 90.00
_cell_angle_gamma 90.00
_symmetry_space_group_name_H-M 'F m -3 m'
_symmetry_Int_Tables_number 225
_symmetry_space_group_name_Hall '-F 4 2 3'
loop_
_atom_site_label
_atom_site_type_symbol
_atom_site_fract_x
_atom_site_fract_y
_atom_site_fract_z
Sc1 Sc 0.0000 0.0000 0.0000
Pa1 Pa 0.0000 0.0000 0.5000
Hg1 Hg 0.2500 0.2500 0.2500
```